1.
This entry pairs a crystal structure of Na3V2P3O12 with its computed X-ray diffraction stick pattern. Radiation: Cu Kα, 1.54184 Å. Structure: a structure optimized by DFT (PBE+U).
Neutral-atom scattering factors, no anomalous dispersion.

Crystal structure
```
data_Na3V2P3O12
_chemical_formula_sum 'Na12 V8 P12 O48'
_symmetry_space_group_name_H-M 'C 1 2/c 1'
_symmetry_Int_Tables_number 15
_symmetry_space_group_name_Hall '-C 2yc'
_cell_length_a 15.336
_cell_length_b 8.930
_cell_length_c 8.890
_cell_angle_alpha 90.00
_cell_angle_beta 125.20
_cell_angle_gamma 90.00
loop_
_atom_site_label
_atom_site_fract_x
_atom_site_fract_y
_atom_site_fract_z
Na1 0.176 0.071 0.235
Na2 0.250 0.250 0.000
V1 0.105 0.256 0.562
P1 0.000 0.043 0.750
P2 0.148 0.400 0.257
O1 0.044 0.333 0.095
O2 0.071 0.055 0.424
O3 0.079 0.141 0.737
O4 0.159 0.428 0.749
O5 0.164 0.364 0.443
O6 0.239 0.325 0.253
```

Principal peaks in the range 2θ from 5° to 70°, in order of rising 2θ:
- 14.1 deg, intensity 33, (1 1 -1)
- 20.0 deg, intensity 79, (2 0 -2)
- 20.0 deg, intensity 33, (3 1 -1)
- 23.4 deg, intensity 92, (0 2 1)
- 23.5 deg, intensity 44, (3 1 0)
- 31.1 deg, intensity 28, (5 1 -2)
- 31.8 deg, intensity 62, (0 2 2)
- 31.8 deg, intensity 100, (3 1 -3)
- 34.9 deg, intensity 69, (3 3 -1)
- 48.1 deg, intensity 44, (6 2 -4)

2.
This entry pairs a crystal structure of FeOF with its computed X-ray diffraction stick pattern. Radiation: Cu Kα, 1.54184 Å. Structure: a structure optimized by DFT (PBE+U).
Neutral-atom scattering factors, no anomalous dispersion.

Crystal structure
```
data_FeOF
_chemical_formula_sum 'Fe18 O18 F18'
_symmetry_space_group_name_H-M 'P 1 m 1'
_symmetry_Int_Tables_number 6
_symmetry_space_group_name_Hall 'P -2y'
_cell_length_a 14.211
_cell_length_b 3.090
_cell_length_c 14.243
_cell_angle_alpha 90.00
_cell_angle_beta 90.39
_cell_angle_gamma 90.00
loop_
_atom_site_label
_atom_site_fract_x
_atom_site_fract_y
_atom_site_fract_z
Fe1 0.000 0.000 0.000
Fe2 0.001 0.000 0.651
Fe3 0.169 0.500 0.142
Fe4 0.187 0.500 0.827
Fe5 0.195 0.500 0.482
Fe6 0.326 0.000 0.658
Fe7 0.328 0.000 0.994
Fe8 0.344 0.000 0.321
Fe9 0.506 0.500 0.170
Fe10 0.518 0.500 0.826
Fe11 0.524 0.500 0.497
Fe12 0.658 0.000 0.324
Fe13 0.666 0.000 0.666
Fe14 0.672 0.000 0.980
Fe15 0.820 0.500 0.823
Fe16 0.849 0.500 0.493
Fe17 0.851 0.500 0.159
Fe18 0.993 0.000 0.327
O1 0.105 0.000 0.089
O2 0.235 0.000 0.890
O3 0.237 0.000 0.554
O4 0.273 0.500 0.722
O5 0.278 0.500 0.060
O6 0.278 0.500 0.382
O7 0.404 0.500 0.256
O8 0.567 0.000 0.893
O9 0.574 0.000 0.217
O10 0.575 0.000 0.559
O11 0.608 0.500 0.725
O12 0.610 0.500 0.389
O13 0.738 0.500 0.930
O14 0.778 0.000 0.753
O15 0.906 0.000 0.221
O16 0.906 0.000 0.560
O17 0.933 0.500 0.049
O18 0.940 0.500 0.392
F1 0.067 0.500 0.918
F2 0.070 0.500 0.593
F3 0.073 0.500 0.263
F4 0.102 0.000 0.755
F5 0.107 0.000 0.426
F6 0.231 0.000 0.220
F7 0.403 0.500 0.924
F8 0.405 0.500 0.594
F9 0.439 0.000 0.757
F10 0.444 0.000 0.085
F11 0.444 0.000 0.432
F12 0.606 0.500 0.055
F13 0.740 0.500 0.259
F14 0.740 0.500 0.588
F15 0.768 0.000 0.098
F16 0.776 0.000 0.425
F17 0.907 0.000 0.881
F18 0.946 0.500 0.723
```

Principal peaks in the range 2θ from 5° to 70°, in order of rising 2θ:
- 26.5 deg, intensity 92, (3 0 -3)
- 26.7 deg, intensity 91, (3 0 3)
- 34.7 deg, intensity 100, (0 1 3)
- 39.6 deg, intensity 17, (3 1 -3)
- 39.7 deg, intensity 16, (3 1 3)
- 52.2 deg, intensity 53, (3 1 -6)
- 52.4 deg, intensity 53, (3 1 6)
- 59.9 deg, intensity 18, (0 2 0)
- 66.4 deg, intensity 20, (0 1 9)
- 66.7 deg, intensity 22, (3 2 3)

3.
This entry pairs a crystal structure of KVSO9 with its computed X-ray diffraction stick pattern. Radiation: Cu Kα, 1.54184 Å. Structure: a structure optimized by DFT (PBE+U).
Neutral-atom scattering factors, no anomalous dispersion.

Crystal structure
```
data_KVSO9
_chemical_formula_sum 'K2 V2 S2 O18'
_symmetry_space_group_name_H-M 'P 1 21 1'
_symmetry_Int_Tables_number 4
_symmetry_space_group_name_Hall 'P 2yb'
_cell_length_a 6.152
_cell_length_b 11.329
_cell_length_c 6.302
_cell_angle_alpha 90.00
_cell_angle_beta 106.39
_cell_angle_gamma 90.00
loop_
_atom_site_label
_atom_site_fract_x
_atom_site_fract_y
_atom_site_fract_z
K1 0.215 0.000 0.274
V1 0.395 0.306 0.143
S1 0.076 0.823 0.756
O1 0.028 0.908 0.577
O2 0.049 0.700 0.691
O3 0.069 0.350 0.085
O4 0.234 0.661 0.201
O5 0.315 0.847 0.914
O6 0.327 0.501 0.047
O7 0.352 0.173 0.035
O8 0.361 0.572 0.224
O9 0.472 0.294 0.413
```

Principal peaks in the range 2θ from 5° to 70°, in order of rising 2θ:
- 14.7 deg, intensity 27, (0 0 1)
- 15.6 deg, intensity 35, (0 2 0)
- 16.6 deg, intensity 100, (0 1 1)
- 23.8 deg, intensity 39, (1 0 1)
- 27.9 deg, intensity 49, (0 3 1)
- 29.7 deg, intensity 20, (2 0 -1)
- 30.2 deg, intensity 15, (1 1 -2)
- 30.8 deg, intensity 16, (2 1 -1)
- 31.3 deg, intensity 18, (2 1 0)
- 34.3 deg, intensity 15, (2 2 0)

4.
This entry pairs a crystal structure of BaV2Ni3H2O10 with its computed X-ray diffraction stick pattern. Radiation: Cu Kα, 1.54184 Å. Structure: a structure optimized by DFT (PBE+U).
Neutral-atom scattering factors, no anomalous dispersion.

Crystal structure
```
data_BaV2Ni3H2O10
_chemical_formula_sum 'Ba2 V4 Ni6 H4 O20'
_symmetry_space_group_name_H-M 'C 1 2/m 1'
_symmetry_Int_Tables_number 12
_symmetry_space_group_name_Hall '-C 2y'
_cell_length_a 10.348
_cell_length_b 5.943
_cell_length_c 7.838
_cell_angle_alpha 90.00
_cell_angle_beta 116.13
_cell_angle_gamma 90.00
loop_
_atom_site_label
_atom_site_fract_x
_atom_site_fract_y
_atom_site_fract_z
Ba1 0.000 0.000 0.000
V1 0.083 0.500 0.755
Ni1 0.000 0.000 0.500
Ni2 0.250 0.250 0.500
H1 0.234 0.500 0.223
O1 0.024 0.254 0.324
O2 0.155 0.500 0.996
O3 0.213 0.000 0.635
O4 0.224 0.500 0.685
```

Principal peaks in the range 2θ from 5° to 70°, in order of rising 2θ:
- 17.7 deg, intensity 28, (2 0 -1)
- 19.1 deg, intensity 28, (2 0 0)
- 27.3 deg, intensity 100, (1 1 -2)
- 30.0 deg, intensity 28, (3 1 -1)
- 32.6 deg, intensity 53, (3 1 -2)
- 32.7 deg, intensity 27, (0 2 1)
- 34.4 deg, intensity 46, (2 0 -3)
- 38.9 deg, intensity 42, (2 2 -2)
- 49.5 deg, intensity 28, (2 2 2)
- 56.3 deg, intensity 30, (2 2 -4)

5.
This entry pairs a crystal structure of Li2VSi3O8 with its computed X-ray diffraction stick pattern. Radiation: Cu Kα, 1.54184 Å. Structure: a structure optimized by DFT (PBE+U).
Neutral-atom scattering factors, no anomalous dispersion.

Crystal structure
```
data_Li2VSi3O8
_chemical_formula_sum 'Li8 V4 Si12 O32'
_symmetry_space_group_name_H-M 'P 43 3 2'
_symmetry_Int_Tables_number 212
_symmetry_space_group_name_Hall 'P 4acd 2ab 3'
_cell_length_a 8.050
_cell_length_b 8.050
_cell_length_c 8.050
_cell_angle_alpha 90.00
_cell_angle_beta 90.00
_cell_angle_gamma 90.00
loop_
_atom_site_label
_atom_site_fract_x
_atom_site_fract_y
_atom_site_fract_z
Li1 0.009 0.009 0.009
V1 0.125 0.875 0.375
Si1 0.110 0.140 0.625
O1 0.080 0.138 0.402
O2 0.121 0.621 0.879
```

Principal peaks in the range 2θ from 5° to 70°, in order of rising 2θ:
- 19.1 deg, intensity 100, (1 1 1)
- 35.3 deg, intensity 4, (3 1 0)
- 37.0 deg, intensity 37, (3 1 1)
- 40.4 deg, intensity 5, (3 2 0)
- 45.0 deg, intensity 52, (4 0 0)
- 46.5 deg, intensity 6, (4 1 0)
- 58.5 deg, intensity 4, (5 1 0)
- 59.7 deg, intensity 18, (5 1 1)
- 65.6 deg, intensity 27, (4 4 0)
- 69.0 deg, intensity 11, (5 3 1)